Record 1
For ScB2W, a structure optimized by DFT (PBE) gives the theoretical powder diffractogram in this record (Cu Kα, 1.54184 Å).

Structure:
Cell lengths 4.5149, 4.5704, 9.0523 Å; angles 90.00, 104.36, 90.00 degrees
Space group P2/c (No. 13)
One atom of each set of equivalent atoms:
Sc: 0.1993 0.1267 0.1480
B: 0.1566 0.3711 0.5597
B: 0.3475 0.1315 0.4489
W: 0.3051 0.3767 0.8576

Most intense lines, 2θ from 5° to 70°, by intensity:
- 2θ 38.0, I = 100.0, hkl 1 1 2
- 2θ 31.8, I = 98.7, hkl 1 1 -2
- 2θ 40.8, I = 54.5, hkl 0 2 1
- 2θ 41.3, I = 52.6, hkl 2 0 -2
- 2θ 45.9, I = 52.6, hkl 1 1 -4
- 2θ 19.4, I = 50.4, hkl 0 1 0
- 2θ 21.9, I = 42.6, hkl 0 1 1
- 2θ 24.9, I = 39.3, hkl 1 0 -2

=====

Record 2
For ZrScB24, a structure optimized by DFT (PBE) gives the theoretical powder diffractogram in this record (Cu Kα, 1.54184 Å).

Structure:
Cell lengths 5.2394, 5.2394, 25.6733 Å; angles 90.00, 90.00, 120.00 degrees
Space group R-3m (No. 166, hexagonal axes)
One atom of each set of equivalent atoms:
Zr: 0.0000 0.0000 0.0000
Sc: 0.0000 0.0000 0.5000
B: 0.0003 0.3389 0.2500
B: 0.1072 0.5536 0.9733
B: 0.1076 0.5538 0.4733

Most intense lines, 2θ from 5° to 70°, by intensity:
- 2θ 40.4, I = 100.0, hkl 2 0 2
- 2θ 24.0, I = 55.4, hkl 1 0 4
- 2θ 20.8, I = 41.3, hkl 0 0 6
- 2θ 42.2, I = 31.1, hkl 0 0 12
- 2θ 61.3, I = 26.1, hkl 1 0 16
- 2θ 53.9, I = 22.9, hkl 0 2 10
- 2θ 34.2, I = 18.3, hkl 1 1 0
- 2θ 10.3, I = 14.7, hkl 0 0 3

=====

Record 3
For BSe, a structure optimized by DFT (PBE) gives the theoretical powder diffractogram in this record (Cu Kα, 1.54184 Å).

Structure:
Cell lengths 3.2574, 5.6405, 8.3144 Å; angles 90.00, 101.00, 90.00 degrees
Space group C2 (No. 5)
One atom of each set of equivalent atoms:
B: 0.0511 0.0000 0.1049
Se: 0.1076 0.6666 0.2208

Most intense lines, 2θ from 5° to 70°, by intensity:
- 2θ 21.8, I = 100.0, hkl 0 0 2
- 2θ 32.2, I = 94.0, hkl 1 1 0
- 2θ 10.8, I = 51.2, hkl 0 0 1
- 2θ 38.8, I = 47.7, hkl 0 2 2
- 2θ 31.7, I = 42.2, hkl 0 2 0
- 2θ 42.2, I = 37.7, hkl 1 1 2
- 2θ 42.4, I = 36.2, hkl 1 1 -3
- 2θ 56.8, I = 24.7, hkl 1 3 0

=====

Record 4
For SiBSe, a structure optimized by DFT (PBE) gives the theoretical powder diffractogram in this record (Cu Kα, 1.54184 Å).

Structure:
Cell lengths 6.2852, 3.0954, 6.5435 Å; angles 90.00, 114.86, 90.00 degrees
Space group P2_1/m (No. 11)
One atom of each set of equivalent atoms:
Si: 0.2400 0.2500 0.0265
B: 0.4367 0.7500 0.9761
Se: 0.1432 0.7500 0.2782

Most intense lines, 2θ from 5° to 70°, by intensity:
- 2θ 33.4, I = 100.0, hkl 1 1 -1
- 2θ 16.4, I = 98.5, hkl 1 0 -1
- 2θ 25.8, I = 88.0, hkl 1 0 1
- 2θ 15.5, I = 78.9, hkl 1 0 0
- 2θ 32.6, I = 75.8, hkl 0 1 1
- 2θ 44.5, I = 58.2, hkl 2 1 -2
- 2θ 27.4, I = 49.5, hkl 1 0 -2
- 2θ 49.8, I = 41.5, hkl 1 1 2

=====

Record 5
For Sm4BSe3, a structure optimized by DFT (PBE) gives the theoretical powder diffractogram in this record (Cu Kα, 1.54184 Å).

Structure:
Cell lengths 8.3396, 11.6631, 4.0788 Å; angles 90.00, 90.00, 90.00 degrees
Space group Cmmm (No. 65)
One atom of each set of equivalent atoms:
Sm: 0.0000 0.2312 0.0000
Sm: 0.2230 0.0000 0.5000
B: 0.0000 0.0000 0.0000
Se: 0.0000 0.5000 0.0000
Se: 0.2500 0.2500 0.5000

Most intense lines, 2θ from 5° to 70°, by intensity:
- 2θ 30.7, I = 100.0, hkl 2 0 1
- 2θ 43.9, I = 46.1, hkl 2 4 1
- 2θ 26.7, I = 16.2, hkl 0 2 1
- 2θ 26.3, I = 15.1, hkl 2 2 0
- 2θ 44.4, I = 12.6, hkl 0 0 2
- 2θ 54.9, I = 12.4, hkl 0 4 2
- 2θ 43.4, I = 11.4, hkl 4 0 0
- 2θ 54.1, I = 11.0, hkl 4 4 0

=====

Record 6
For SnB2Se, a structure optimized by DFT (PBE) gives the theoretical powder diffractogram in this record (Cu Kα, 1.54184 Å).

Structure:
Cell lengths 5.1091, 5.1091, 10.0000 Å; angles 90.00, 90.00, 90.00 degrees
Space group I-42d (No. 122)
One atom of each set of equivalent atoms:
Sn: 0.0000 0.0000 0.0000
B: 0.2214 0.2500 0.6250
Se: 0.0000 0.0000 0.5000

Most intense lines, 2θ from 5° to 70°, by intensity:
- 2θ 30.5, I = 100.0, hkl 1 1 2
- 2θ 60.2, I = 29.3, hkl 3 1 2
- 2θ 35.1, I = 29.1, hkl 2 0 0
- 2θ 51.1, I = 26.9, hkl 2 0 4
- 2θ 61.2, I = 13.9, hkl 1 1 6
- 2θ 50.5, I = 13.9, hkl 2 2 0
- 2θ 35.9, I = 13.7, hkl 0 0 4
- 2θ 63.5, I = 11.0, hkl 2 2 4